For Nb3Al2N, the PBE geometry in the Materials Project gives the theoretical powder diffractogram in this record (Cu Kα (weighted mean of Kα1 and Kα2)).
No peak broadening, texture or thermal motion is included.

Atomic structure:
```
data_Nb3Al2N
_symmetry_space_group_name_H-M 'P 41 3 2'
_symmetry_Int_Tables_number 213
_symmetry_space_group_name_Hall 'P 4bd 2ab 3'
_cell_length_a 7.0794
_cell_length_b 7.0794
_cell_length_c 7.0794
_cell_angle_alpha 90.00
_cell_angle_beta 90.00
_cell_angle_gamma 90.00
loop_
_atom_site_label
_atom_site_fract_x
_atom_site_fract_y
_atom_site_fract_z
_atom_site_occupancy
Nb1 0.0455 0.1250 0.7955 1
Al1 0.0708 0.9292 0.4292 1
N1 0.1250 0.3750 0.6250 1
```

The 6 most intense peaks (10 to 80 degrees two-theta), in order of falling intensity:
(hkl), 2θ (°), I (rel.)
2 2 1, 38.14, 100
3 1 0, 40.29, 57
3 1 1, 42.34, 23
4 3 1, 67.46, 20
5 2 0, 71.81, 20
2 1 0, 28.19, 18